[1]
For RbMnP, the GGA-PBE geometry in Alexandria gives the calculated powder diffraction line list in this record (CuKα).
Intensities are scaled so that the largest is 100.

The 10 most intense peaks (2θ = 10–90°), sorted by position:
2θ (°)	I/Imax	(hkl)
23.5	54	0 0 3
24.5	74	1 0 1
28.1	71	1 0 2
33.3	66	1 0 3
34.0	24	1 1 1
36.7	100	1 1 2
47.4	44	2 0 0
52.6	61	1 1 5
54.1	25	2 1 1
59.1	24	2 1 3

Crystal structure
a b c (Å): 3.8361 3.8361 11.3543
angles (deg): 90.00 90.00 90.00
Positions (direct):
Rb (0.2500, 0.2500, 0.2089)
Rb (0.7500, 0.7500, 0.7911)
Mn (0.2500, 0.7500, 0.5000)
Mn (0.7500, 0.2500, 0.5000)
P (0.2500, 0.2500, 0.6096)
P (0.7500, 0.7500, 0.3904)

***

[2]
For In3Te2Br, the GGA-PBE geometry in Alexandria gives the calculated powder diffraction line list in this record (CuKα).
Intensities are scaled so that the largest is 100.

The 10 most intense peaks (2θ = 10–90°), sorted by position:
2θ (°)	I/Imax	(hkl)
10.2	100	0 0 1
13.7	57	1 0 0
14.9	64	1 -1 0
23.0	47	0 2 -2
25.0	61	1 1 1
28.2	43	2 0 -2
29.7	34	1 -3 1
31.1	34	-2 2 1
32.7	50	1 2 1
39.0	35	1 -3 3

Crystal structure
a b c (Å): 6.9372 9.6422 9.6505
angles (deg): 107.32 106.69 97.11
Positions (direct):
In (0.0335, 0.3249, 0.0077)
In (0.2782, 0.8772, 0.4617)
In (0.2865, 0.1171, 0.9790)
In (0.7135, 0.8829, 0.0210)
In (0.7218, 0.1228, 0.5383)
In (0.9665, 0.6751, 0.9923)
Te (0.0283, 0.4421, 0.7660)
Te (0.3653, 0.9018, 0.1273)
Te (0.6347, 0.0982, 0.8727)
Te (0.9717, 0.5579, 0.2340)
Br (0.0107, 0.9317, 0.6833)
Br (0.9893, 0.0683, 0.3167)